Simulated X-ray diffraction stick pattern of BaMg6Bi for Cu Kα (weighted mean of Kα1 and Kα2), from the GGA-PBE geometry in Alexandria.
Kinematic intensities with the Lorentz-polarization factor, no thermal factor.

Atomic structure:
```
BaMg6Bi
1.0
5.0029 0.0000 0.0000
0.0000 6.6456 0.0000
0.0000 0.0000 14.0858
Ba Mg Bi
2 12 2
direct
0.0000 0.0000 0.0000
0.0000 0.5000 0.5000
0.0000 0.0000 0.5786
0.0000 0.2229 0.2675
0.0000 0.2771 0.7675
0.0000 0.5000 0.0786
0.0000 0.7229 0.7675
0.0000 0.7771 0.2675
0.5000 0.0000 0.4220
0.5000 0.2405 0.1396
0.5000 0.2595 0.6396
0.5000 0.5000 0.9220
0.5000 0.7405 0.6396
0.5000 0.7595 0.1396
0.5000 0.0000 0.8224
0.5000 0.5000 0.3224
```

Largest 10 diffraction maxima, in order of rising 2θ, 2θ = 15–90°:
21.79°, d 4.079, I 55
23.14°, d 3.844, I 46
29.35°, d 3.044, I 100
31.06°, d 2.880, I 31
34.58°, d 2.594, I 32
34.83°, d 2.576, I 81
35.90°, d 2.501, I 28
39.00°, d 2.309, I 23
50.73°, d 1.799, I 33
63.85°, d 1.458, I 22